Li2Pb5: computed X-ray powder pattern (λ = 1.5418 Å (Cu Kα)), based on a structure optimized by DFT (GGA-PBE).
Kinematic intensities with the Lorentz-polarization factor, no thermal factor.

Atomic structure:
```
Li2Pb5
1.0
7.741 -3.035 0.000
7.741 3.035 0.000
-1.395 0.000 8.012
Li Pb
4 10
Direct
0.063 0.743 0.914
0.257 0.937 0.586
0.743 0.063 0.414
0.937 0.257 0.086
0.103 0.346 0.816
0.176 0.824 0.250
0.259 0.543 0.563
0.346 0.103 0.316
0.457 0.741 0.937
0.543 0.259 0.063
0.654 0.897 0.684
0.741 0.457 0.437
0.824 0.176 0.750
0.897 0.654 0.184
```

Main lines, by angle (2θ from 5° to 70°):
2θ (°)	d_spacing	intensity
26.5	3.368	46
26.7	3.336	72
29.4	3.034	58
29.8	2.998	44
31.5	2.838	100
32.9	2.726	58
33.0	2.711	73
34.4	2.609	51
36.3	2.475	89
54.4	1.687	63